Theoretical powder XRD pattern of Li4Ti2Ni3O10 for Cu Ka, from the PBE+U geometry in Alexandria.
Lines closer than 0.1° are merged.

Structural model:
a = 6.544 Å, b = 7.805 Å, c = 7.866 Å
α = 95.73°, β = 90.57°, γ = 114.00°
Atoms (fractional coordinates):
1 Li 0.110 0.301 0.200
2 Li 0.190 0.104 0.895
3 Li 0.246 0.977 0.262
4 Li 0.317 0.898 0.588
5 Li 0.683 0.102 0.412
6 Li 0.754 0.023 0.738
7 Li 0.810 0.896 0.105
8 Li 0.890 0.699 0.800
9 Ti 0.176 0.191 0.549
10 Ti 0.351 0.806 0.956
11 Ti 0.649 0.194 0.044
12 Ti 0.824 0.809 0.451
13 Ni 0.000 0.500 0.500
14 Ni 0.040 0.397 0.842
15 Ni 0.452 0.595 0.652
16 Ni 0.500 0.500 0.000
17 Ni 0.548 0.405 0.348
18 Ni 0.960 0.603 0.158
19 O 0.029 0.961 0.656
20 O 0.086 0.830 0.035
21 O 0.098 0.727 0.381
22 O 0.174 0.644 0.734
23 O 0.227 0.548 0.051
24 O 0.257 0.430 0.439
25 O 0.305 0.346 0.771
26 O 0.400 0.274 0.109
27 O 0.413 0.152 0.464
28 O 0.467 0.029 0.847
29 O 0.533 0.971 0.153
30 O 0.587 0.848 0.536
31 O 0.600 0.726 0.891
32 O 0.695 0.654 0.229
33 O 0.743 0.570 0.561
34 O 0.773 0.452 0.949
35 O 0.826 0.356 0.266
36 O 0.902 0.273 0.619
37 O 0.914 0.170 0.965
38 O 0.971 0.039 0.344

Main lines, by angle (10° ≤ 2θ ≤ 90°):
| Position (°2θ) | intensity | h k l |
| --- | --- | --- |
| 12.5 | 93 | 0 1 0 |
| 18.2 | 28 | 1 0 -1 |
| 18.5 | 69 | 1 -1 1 |
| 22.8 | 17 | 0 0 2 |
| 26.9 | 22 | -1 2 1 |
| 42.4 | 53 | 0 3 -2 |
| 43.8 | 100 | 1 1 3 |
| 61.8 | 14 | 3 1 -3 |
| 63.0 | 14 | 1 4 1 |
| 63.6 | 26 | -2 3 4 |